# 1
Structure and computed XRD peak list of LiTl2Cl3 (a cell relaxed with GGA-PBE; CuKα).
Kinematic intensities with the Lorentz-polarization factor, no thermal factor.

Most intense lines, 2θ from 5° to 70°, sorted by position:
20.11 deg, I 79; 21.96 deg, I 96; 22.36 deg, I 60; 23.31 deg, I 100; 25.54 deg, I 79; 28.91 deg, I 75

Structural model:
```
24
Lattice="9.106 0.000 0.000 0.000 4.326 0.000 0.000 0.000 17.680" Properties=species:S:1:pos:R:3 pbc="T T T"
Li 1.208 1.082 2.331
Li 3.345 3.245 11.171
Li 5.761 1.082 6.509
Li 7.897 3.245 15.349
Tl 0.679 1.082 12.645
Tl 2.200 1.082 8.102
Tl 2.353 3.245 16.942
Tl 3.874 3.245 3.805
Tl 5.232 1.082 13.875
Tl 6.753 1.082 0.738
Tl 6.906 3.245 9.578
Tl 8.426 3.245 5.035
Cl 0.177 3.245 1.795
Cl 1.220 3.245 10.086
Cl 1.651 1.082 4.679
Cl 2.902 3.245 13.519
Cl 3.333 1.082 1.246
Cl 4.376 1.082 10.635
Cl 4.729 3.245 7.045
Cl 5.773 3.245 16.434
Cl 6.204 1.082 4.161
Cl 7.454 3.245 13.001
Cl 7.886 1.082 7.594
Cl 8.929 1.082 15.885
```

# 2
Structure and computed XRD peak list of LiTm2Cl5 (a cell relaxed with GGA-PBE; CuKα).
Kinematic intensities with the Lorentz-polarization factor, no thermal factor.

Most intense lines, 2θ from 5° to 70°, sorted by position:
10.57 deg, I 100; 20.60 deg, I 42; 28.71 deg, I 18; 37.85 deg, I 21; 38.84 deg, I 20; 39.05 deg, I 18

Structural model:
```
16
Lattice="8.963 -3.196 0.000 8.963 3.196 0.000 -2.720 0.000 7.114" Properties=species:S:1:pos:R:3 pbc="T T T"
Li 4.481 1.598 0.000
Li 3.122 -1.598 3.557
Tm 5.625 1.727 6.388
Tm 8.221 1.727 4.283
Tm 6.985 -1.727 2.831
Tm 9.581 -1.727 0.726
Cl 8.283 2.545 1.778
Cl 2.917 0.464 1.337
Cl 1.557 -0.464 4.893
Cl 5.841 0.459 3.966
Cl 7.201 -0.459 0.409
Cl 8.005 0.459 6.704
Cl 9.365 -0.459 3.147
Cl 13.649 0.464 2.220
Cl 12.289 -0.464 5.777
Cl 6.923 -2.545 5.335
```

# 3
Structure and computed XRD peak list of Li3TmCl6 (a cell relaxed with GGA-PBE; CuKα).
Kinematic intensities with the Lorentz-polarization factor, no thermal factor.

Most intense lines, 2θ from 5° to 70°, sorted by position:
15.95 deg, I 100; 17.39 deg, I 23; 18.95 deg, I 33; 29.53 deg, I 29; 31.53 deg, I 23; 40.30 deg, I 28

Structural model:
```
20
Lattice="6.596 0.000 0.000 0.000 6.648 0.000 -6.592 0.000 10.201" Properties=species:S:1:pos:R:3 pbc="T T T"
Li 0.000 0.000 0.000
Li -3.296 3.324 5.100
Li -3.386 0.131 7.463
Li -0.090 3.193 2.363
Li 0.095 3.455 7.838
Li 3.390 6.517 2.737
Tm 0.002 0.000 5.100
Tm 3.298 3.324 0.000
Cl -0.893 0.722 2.727
Cl -4.189 2.602 7.827
Cl 1.054 4.518 0.593
Cl -2.241 5.453 5.693
Cl 2.236 1.149 0.952
Cl -1.059 2.175 6.053
Cl 1.064 4.473 4.148
Cl -2.232 5.499 9.249
Cl 2.246 1.195 4.507
Cl -1.050 2.129 9.608
Cl 4.194 4.046 2.374
Cl 0.898 5.926 7.474
```